Record 1
This entry pairs a crystal structure of Ti4F with its computed powder diffraction line list. Radiation: λ = 1.5418 Å (Cu Kα). Structure: a cell relaxed with GGA-PBE.
Neutral-atom scattering factors, no anomalous dispersion.

```
Ti4F
1.0
4.233 0.000 0.000
0.000 4.233 0.000
0.000 0.000 4.233
Ti F
4 1
direct
0.000 0.000 0.000
0.000 0.500 0.500
0.500 0.000 0.500
0.500 0.500 0.000
0.500 0.500 0.500
```

Most intense lines, 2θ = 10–90°, sorted by position:
Position (°2θ), d_spacing, I (rel.)
20.99, 4.233, 4.9
29.85, 2.993, 3.8
36.77, 2.444, 100.0
42.72, 2.117, 71.7
48.06, 1.893, 1.6
52.98, 1.728, 1.1
62.01, 1.497, 41.6
66.23, 1.411, 0.6
74.31, 1.276, 32.4
78.23, 1.222, 13.0

---

Record 2
This entry pairs a crystal structure of TiF with its computed powder diffraction line list. Radiation: λ = 1.5418 Å (Cu Kα). Structure: a cell relaxed with GGA-PBE.
Neutral-atom scattering factors, no anomalous dispersion.

```
TiF
1.0
2.831 0.000 0.000
0.006 3.973 0.000
1.394 0.033 4.735
Ti F
2 2
direct
0.000 0.000 0.000
0.276 0.228 0.454
0.190 0.725 0.626
0.916 0.504 0.170
```

Most intense lines, 2θ = 10–90°, sorted by position:
Position (°2θ), d_spacing, I (rel.)
22.38, 3.973, 31.6
29.45, 3.033, 37.3
33.02, 2.713, 100.0
38.01, 2.368, 26.8
40.22, 2.242, 31.1
44.41, 2.040, 33.3
49.65, 1.836, 24.4
49.91, 1.827, 26.3
57.46, 1.604, 35.8
63.56, 1.464, 24.3

---

Record 3
This entry pairs a crystal structure of TiTl2F5 with its computed powder diffraction line list. Radiation: λ = 1.5418 Å (Cu Kα). Structure: a cell relaxed with GGA-PBE.
Neutral-atom scattering factors, no anomalous dispersion.

```
TiTl2F5
1.0
4.050 0.000 0.000
-0.019 6.565 0.000
-1.932 -3.274 5.735
Ti Tl F
1 2 5
direct
0.000 0.000 0.000
0.337 0.335 0.669
0.663 0.665 0.331
0.120 0.335 0.248
0.121 0.914 0.249
0.500 0.000 0.000
0.879 0.086 0.751
0.880 0.665 0.752
```

Most intense lines, 2θ = 10–90°, sorted by position:
Position (°2θ), d_spacing, I (rel.)
15.49, 5.719, 22.4
25.85, 3.447, 100.0
26.99, 3.304, 92.6
27.17, 3.282, 34.5
31.96, 2.801, 20.1
32.44, 2.760, 19.1
42.43, 2.130, 30.2
42.74, 2.116, 14.9
44.76, 2.025, 16.9
47.90, 1.899, 24.7

---

Record 4
This entry pairs a crystal structure of TiTl5F9 with its computed powder diffraction line list. Radiation: λ = 1.5418 Å (Cu Kα). Structure: a cell relaxed with GGA-PBE.
Neutral-atom scattering factors, no anomalous dispersion.

```
TiTl5F9
1.0
7.930 0.000 0.000
0.000 11.340 0.000
0.000 0.000 6.841
Ti Tl F
2 10 18
direct
0.000 0.250 0.000
0.000 0.750 0.500
0.267 0.079 0.535
0.267 0.921 0.035
0.269 0.417 0.458
0.269 0.583 0.958
0.500 0.260 0.949
0.500 0.740 0.449
0.731 0.417 0.458
0.731 0.583 0.958
0.733 0.079 0.535
0.733 0.921 0.035
0.000 0.100 0.875
0.000 0.399 0.123
0.000 0.601 0.623
0.000 0.900 0.375
0.169 0.303 0.822
0.169 0.697 0.322
0.173 0.198 0.172
0.173 0.802 0.672
0.500 0.029 0.825
0.500 0.250 0.538
0.500 0.481 0.191
0.500 0.519 0.691
0.500 0.750 0.038
0.500 0.971 0.325
0.827 0.198 0.172
0.827 0.802 0.672
0.831 0.303 0.822
0.831 0.697 0.322
```

Most intense lines, 2θ = 10–90°, sorted by position:
Position (°2θ), d_spacing, I (rel.)
11.16, 7.930, 18.3
22.42, 3.965, 18.0
26.05, 3.421, 43.2
26.95, 3.309, 100.0
27.17, 3.283, 80.4
27.45, 3.249, 34.6
35.33, 2.540, 36.4
38.20, 2.356, 34.7
48.11, 1.891, 31.1
53.92, 1.701, 24.5

---

Record 5
This entry pairs a crystal structure of TiTl3F7 with its computed powder diffraction line list. Radiation: λ = 1.5418 Å (Cu Kα). Structure: a cell relaxed with GGA-PBE.
Neutral-atom scattering factors, no anomalous dispersion.

```
TiTl3F7
1.0
4.117 2.377 3.806
-4.117 2.377 3.806
0.000 -4.754 3.806
Ti Tl F
1 3 7
direct
0.000 0.000 0.000
0.501 0.501 0.994
0.501 0.994 0.501
0.994 0.501 0.501
0.124 0.795 0.795
0.204 0.204 0.874
0.204 0.874 0.204
0.378 0.378 0.378
0.795 0.124 0.795
0.795 0.795 0.124
0.874 0.204 0.204
```

Most intense lines, 2θ = 10–90°, sorted by position:
Position (°2θ), d_spacing, I (rel.)
23.37, 3.806, 42.0
26.18, 3.404, 100.0
29.54, 3.024, 58.5
40.48, 2.229, 35.3
43.98, 2.059, 26.1
47.26, 1.923, 21.8
50.39, 1.811, 34.9
53.87, 1.702, 15.2
66.96, 1.398, 14.4
70.34, 1.338, 13.5

---

Record 6
This entry pairs a crystal structure of Tl4F5 with its computed powder diffraction line list. Radiation: λ = 1.5418 Å (Cu Kα). Structure: a cell relaxed with GGA-PBE.
Neutral-atom scattering factors, no anomalous dispersion.

```
Tl4F5
1.0
-4.411 4.411 2.631
4.411 -4.411 2.631
4.411 4.411 -2.631
Tl F
4 5
direct
0.101 0.714 0.816
0.286 0.101 0.387
0.714 0.899 0.613
0.899 0.286 0.184
0.000 0.000 0.000
0.166 0.410 0.576
0.410 0.834 0.245
0.590 0.166 0.755
0.834 0.590 0.424
```

Most intense lines, 2θ = 10–90°, sorted by position:
Position (°2θ), d_spacing, I (rel.)
19.64, 4.520, 27.6
28.27, 3.157, 100.0
32.08, 2.790, 61.6
34.07, 2.631, 24.9
46.00, 1.973, 19.2
47.50, 1.914, 41.4
54.88, 1.673, 32.3
57.50, 1.603, 15.0
58.47, 1.578, 18.7
76.59, 1.244, 12.7

---

Record 7
This entry pairs a crystal structure of TlF with its computed powder diffraction line list. Radiation: λ = 1.5418 Å (Cu Kα). Structure: a cell relaxed with GGA-PBE.
Neutral-atom scattering factors, no anomalous dispersion.

```
TlF
1.0
-1.965 5.862 3.029
1.965 -5.862 3.029
1.965 5.862 -3.029
Tl F
3 3
direct
0.000 0.000 0.000
0.341 0.004 0.337
0.666 0.004 0.663
0.248 0.581 0.667
0.410 0.410 0.000
0.914 0.581 0.333
```

Most intense lines, 2θ = 10–90°, sorted by position:
Position (°2θ), d_spacing, I (rel.)
27.04, 3.297, 100.0
27.15, 3.284, 98.6
29.49, 3.029, 53.8
32.30, 2.771, 93.0
44.30, 2.045, 71.3
50.86, 1.795, 43.9
54.41, 1.686, 30.9
54.59, 1.681, 30.2
55.76, 1.649, 18.2
56.00, 1.642, 17.7

---

Record 8
This entry pairs a crystal structure of Tl3F5 with its computed powder diffraction line list. Radiation: λ = 1.5418 Å (Cu Kα). Structure: a cell relaxed with GGA-PBE.
Neutral-atom scattering factors, no anomalous dispersion.

```
Tl3F5
1.0
11.363 0.000 0.000
0.000 7.514 0.000
0.000 0.000 6.968
Tl F
12 20
direct
0.001 0.250 0.057
0.171 0.001 0.526
0.171 0.499 0.526
0.329 0.501 0.026
0.329 0.999 0.026
0.499 0.750 0.557
0.501 0.250 0.443
0.671 0.001 0.974
0.671 0.499 0.974
0.829 0.501 0.474
0.829 0.999 0.474
0.999 0.750 0.943
0.018 0.250 0.377
0.073 0.538 0.148
0.073 0.962 0.148
0.161 0.250 0.884
0.185 0.750 0.849
0.315 0.250 0.349
0.339 0.750 0.384
0.427 0.038 0.648
0.427 0.462 0.648
0.482 0.750 0.877
0.518 0.250 0.123
0.573 0.538 0.352
0.573 0.962 0.352
0.661 0.250 0.616
0.685 0.750 0.651
0.815 0.250 0.151
0.839 0.750 0.116
0.927 0.038 0.852
0.927 0.462 0.852
0.982 0.750 0.623
```

Most intense lines, 2θ = 10–90°, sorted by position:
Position (°2θ), d_spacing, I (rel.)
25.57, 3.484, 48.3
26.79, 3.328, 100.0
28.10, 3.175, 72.7
28.48, 3.134, 43.4
36.05, 2.491, 27.2
38.64, 2.330, 34.0
39.78, 2.266, 16.4
45.83, 1.980, 17.8
48.61, 1.873, 26.3
56.23, 1.636, 27.0

---

Record 9
This entry pairs a crystal structure of TlF with its computed powder diffraction line list. Radiation: λ = 1.5418 Å (Cu Kα). Structure: a cell relaxed with GGA-PBE.
Neutral-atom scattering factors, no anomalous dispersion.

```
TlF
1.0
0.000 4.335 5.532
3.932 0.000 5.532
3.932 4.335 0.000
Tl F
4 4
direct
0.122 0.628 0.628
0.372 0.878 0.878
0.628 0.122 0.122
0.878 0.372 0.372
0.188 0.562 0.188
0.438 0.812 0.438
0.562 0.188 0.562
0.812 0.438 0.812
```

Most intense lines, 2θ = 10–90°, sorted by position:
Position (°2θ), d_spacing, I (rel.)
26.12, 3.412, 100.0
27.84, 3.205, 79.7
30.70, 2.912, 89.1
32.37, 2.766, 41.1
41.67, 2.167, 17.1
45.21, 2.006, 61.8
46.17, 1.966, 15.2
50.86, 1.795, 39.0
53.78, 1.704, 45.5
57.51, 1.603, 15.8

---

Record 10
This entry pairs a crystal structure of TlF with its computed powder diffraction line list. Radiation: λ = 1.5418 Å (Cu Kα). Structure: a cell relaxed with GGA-PBE.
Neutral-atom scattering factors, no anomalous dispersion.

```
TlF
1.0
6.379 0.000 0.000
0.000 5.832 0.000
0.000 0.000 5.214
Tl F
4 4
direct
0.243 0.002 0.250
0.243 0.498 0.750
0.757 0.502 0.250
0.757 0.998 0.750
0.142 0.578 0.250
0.142 0.922 0.750
0.858 0.078 0.250
0.858 0.422 0.750
```

Most intense lines, 2θ = 10–90°, sorted by position:
Position (°2θ), d_spacing, I (rel.)
26.86, 3.319, 100.0
27.97, 3.190, 27.2
30.66, 2.916, 23.2
34.40, 2.607, 18.7
41.98, 2.152, 18.2
44.91, 2.018, 15.4
46.74, 1.943, 14.6
48.82, 1.865, 24.7
52.23, 1.752, 19.0
55.36, 1.660, 16.5

---

Record 11
This entry pairs a crystal structure of TlF4 with its computed powder diffraction line list. Radiation: λ = 1.5418 Å (Cu Kα). Structure: a cell relaxed with GGA-PBE.
Neutral-atom scattering factors, no anomalous dispersion.

```
TlF4
1.0
2.753 -4.629 0.000
2.753 4.629 0.000
0.000 0.000 5.550
Tl F
2 8
direct
0.250 0.750 0.750
0.750 0.250 0.250
0.089 0.338 0.549
0.162 0.411 0.049
0.338 0.089 0.049
0.411 0.162 0.549
0.589 0.838 0.451
0.662 0.911 0.951
0.838 0.589 0.951
0.911 0.662 0.451
```

Most intense lines, 2θ = 10–90°, sorted by position:
Position (°2θ), d_spacing, I (rel.)
19.17, 4.629, 47.3
24.73, 3.601, 100.0
37.12, 2.422, 38.2
37.80, 2.380, 17.6
38.03, 2.366, 17.3
46.47, 1.954, 15.9
50.71, 1.800, 15.3
51.59, 1.772, 12.6
53.16, 1.723, 14.5
53.52, 1.712, 14.3

---

Record 12
This entry pairs a crystal structure of TlF with its computed powder diffraction line list. Radiation: λ = 1.5418 Å (Cu Kα). Structure: a cell relaxed with GGA-PBE.
Neutral-atom scattering factors, no anomalous dispersion.

```
TlF
1.0
1.914 -6.794 0.000
1.914 6.794 0.000
0.000 0.000 3.840
Tl F
2 2
direct
0.136 0.864 0.750
0.864 0.136 0.250
0.318 0.682 0.750
0.682 0.318 0.250
```

Most intense lines, 2θ = 10–90°, sorted by position:
Position (°2θ), d_spacing, I (rel.)
24.16, 3.684, 57.8
26.24, 3.397, 60.1
26.66, 3.343, 100.0
30.58, 2.923, 46.1
33.71, 2.658, 94.3
38.71, 2.326, 25.1
46.56, 1.951, 25.6
47.36, 1.919, 62.3
55.32, 1.661, 28.4
75.54, 1.259, 18.5